Record 1
This entry pairs a crystal structure of CdNiH6Ir with its computed powder diffraction line list. Radiation: Cu Kα (λ = 1.5418 Å). Structure: a cell relaxed with PBE.

Crystal structure
```
CdNiH6Ir
1.0
4.395 0.000 0.000
2.195 4.318 0.000
0.489 0.014 4.866
Cd Ni H Ir
1 1 6 1
Direct
0.000 0.000 0.000
0.161 0.679 0.499
0.095 0.406 0.675
0.262 0.985 0.429
0.500 0.407 0.324
0.527 0.566 0.684
0.754 0.985 0.570
0.909 0.567 0.315
0.860 0.282 0.500
```

Most intense lines, 2θ from 10° to 80°, low angle first:
| Position (°2θ) | intensity |
| --- | --- |
| 18.23 | 22 |
| 22.79 | 100 |
| 27.62 | 37 |
| 36.94 | 24 |
| 40.94 | 33 |
| 41.29 | 17 |
| 41.97 | 20 |
| 42.79 | 18 |
| 42.91 | 15 |
| 45.67 | 16 |


Record 2
This entry pairs a crystal structure of CdH6Ir2Pt with its computed powder diffraction line list. Radiation: Cu Kα (λ = 1.5418 Å). Structure: a cell relaxed with PBE.

Crystal structure
```
CdH6Ir2Pt
1.0
4.936 -4.586 0.000
4.936 4.586 0.000
-2.215 0.000 4.138
Cd H Ir Pt
2 12 4 2
Direct
0.246 0.754 0.750
0.754 0.246 0.250
0.000 0.494 0.242
0.000 0.506 0.758
0.084 0.137 0.545
0.137 0.084 0.045
0.312 0.327 0.038
0.327 0.312 0.538
0.494 0.000 0.742
0.506 0.000 0.258
0.673 0.688 0.462
0.688 0.673 0.962
0.863 0.916 0.955
0.916 0.863 0.455
0.042 0.291 0.905
0.291 0.042 0.405
0.709 0.958 0.595
0.958 0.709 0.095
0.415 0.585 0.250
0.585 0.415 0.750
```

Most intense lines, 2θ from 10° to 80°, low angle first:
| Position (°2θ) | intensity |
| --- | --- |
| 21.27 | 64 |
| 32.37 | 69 |
| 35.03 | 100 |
| 38.36 | 54 |
| 41.50 | 59 |
| 41.62 | 57 |
| 50.94 | 20 |
| 51.14 | 19 |
| 64.20 | 14 |
| 67.22 | 15 |


Record 3
This entry pairs a crystal structure of ThCdH6Ir2 with its computed powder diffraction line list. Radiation: Cu Kα (λ = 1.5418 Å). Structure: a cell relaxed with PBE.

Crystal structure
```
ThCdH6Ir2
1.0
3.796 -5.894 0.000
3.796 5.894 0.000
-0.913 0.000 4.956
Th Cd H Ir
2 2 12 4
Direct
0.172 0.828 0.750
0.828 0.172 0.250
0.447 0.553 0.250
0.553 0.447 0.750
0.077 0.453 0.610
0.114 0.468 0.064
0.115 0.130 0.522
0.130 0.115 0.022
0.453 0.077 0.110
0.468 0.114 0.564
0.532 0.886 0.436
0.547 0.923 0.890
0.870 0.885 0.978
0.885 0.870 0.478
0.886 0.532 0.936
0.923 0.547 0.390
0.114 0.296 0.818
0.296 0.114 0.318
0.704 0.886 0.682
0.886 0.704 0.182
```

Most intense lines, 2θ from 10° to 80°, low angle first:
| Position (°2θ) | intensity |
| --- | --- |
| 25.62 | 59 |
| 30.12 | 59 |
| 31.20 | 81 |
| 35.44 | 36 |
| 36.02 | 100 |
| 36.25 | 47 |
| 36.90 | 36 |
| 38.18 | 30 |
| 43.01 | 30 |
| 52.63 | 27 |


Record 4
This entry pairs a crystal structure of TmCdH6Ir2 with its computed powder diffraction line list. Radiation: Cu Kα (λ = 1.5418 Å). Structure: a cell relaxed with PBE.

Crystal structure
```
TmCdH6Ir2
1.0
3.825 -4.757 0.000
3.825 4.757 0.000
-1.524 0.000 5.373
Tm Cd H Ir
2 2 12 4
Direct
0.156 0.844 0.750
0.844 0.156 0.250
0.383 0.617 0.250
0.617 0.383 0.750
0.032 0.556 0.391
0.168 0.170 0.068
0.170 0.168 0.568
0.308 0.535 0.854
0.444 0.968 0.109
0.465 0.692 0.646
0.535 0.308 0.354
0.556 0.032 0.891
0.692 0.465 0.146
0.830 0.832 0.432
0.832 0.830 0.932
0.968 0.444 0.609
0.078 0.320 0.823
0.320 0.078 0.323
0.680 0.922 0.677
0.922 0.680 0.177
```

Most intense lines, 2θ from 10° to 80°, low angle first:
| Position (°2θ) | intensity |
| --- | --- |
| 15.22 | 20 |
| 31.64 | 80 |
| 33.36 | 71 |
| 33.59 | 24 |
| 37.12 | 27 |
| 37.83 | 58 |
| 38.21 | 100 |
| 43.28 | 19 |
| 51.30 | 23 |
| 65.00 | 19 |


Record 5
This entry pairs a crystal structure of VCdH2Ir with its computed powder diffraction line list. Radiation: Cu Kα (λ = 1.5418 Å). Structure: a cell relaxed with PBE.

Crystal structure
```
VCdH2Ir
1.0
3.487 0.000 0.000
0.000 3.487 0.000
0.000 0.000 6.532
V Cd H Ir
1 1 2 1
Direct
0.000 0.000 0.000
0.000 0.000 0.500
0.000 0.500 0.500
0.500 0.000 0.500
0.500 0.500 0.000
```

Most intense lines, 2θ from 10° to 80°, low angle first:
| Position (°2θ) | intensity |
| --- | --- |
| 13.55 | 34 |
| 27.30 | 59 |
| 29.03 | 100 |
| 36.44 | 53 |
| 46.13 | 54 |
| 49.34 | 24 |
| 52.48 | 19 |
| 60.16 | 25 |
| 61.09 | 25 |
| 68.98 | 18 |


Record 6
This entry pairs a crystal structure of KCdH4 with its computed powder diffraction line list. Radiation: Cu Kα (λ = 1.5418 Å). Structure: a cell relaxed with PBE.

Crystal structure
```
KCdH4
1.0
6.051 0.000 0.000
0.000 5.784 0.000
-1.159 0.000 5.797
K Cd H
2 2 8
Direct
0.000 0.230 0.250
0.000 0.770 0.750
0.500 0.131 0.750
0.500 0.869 0.250
0.065 0.306 0.764
0.065 0.694 0.264
0.288 0.035 0.035
0.288 0.965 0.535
0.712 0.035 0.465
0.712 0.965 0.965
0.935 0.306 0.736
0.935 0.694 0.236
```

Most intense lines, 2θ from 10° to 80°, low angle first:
| Position (°2θ) | intensity |
| --- | --- |
| 14.93 | 51 |
| 15.32 | 76 |
| 21.45 | 52 |
| 24.65 | 100 |
| 28.14 | 73 |
| 30.12 | 49 |
| 30.86 | 51 |
| 34.65 | 46 |
| 36.65 | 37 |
| 39.18 | 32 |